Record 1
This entry pairs a crystal structure of ZnAs2O4 with its computed powder X-ray diffraction pattern. Radiation: Cu Kα. Structure: a cell relaxed with GGA-PBE.
Lines closer than 0.1° are merged.

Top 6 peaks for 10° ≤ 2θ ≤ 90°, by angle:
2θ 26.3, intensity 27, hkl 1 1 -1
2θ 27.7, intensity 100, hkl 1 1 2
2θ 29.2, intensity 49, hkl 0 0 6
2θ 29.8, intensity 19, hkl 1 1 -3
2θ 40.3, intensity 25, hkl 0 2 4
2θ 53.2, intensity 20, hkl 2 2 0

Crystal structure
```
data_ZnAs2O4
_chemical_formula_sum 'Zn4 As8 O16'
_cell_length_a 4.6511
_cell_length_b 5.1183
_cell_length_c 18.3689
_cell_angle_alpha 90.00
_cell_angle_beta 90.27
_cell_angle_gamma 90.00
_space_group_name_H-M_alt 'P 1 21/c 1'
_space_group_IT_number 14
loop_
_space_group_symop_operation_xyz
'x,y,z'
'-x,-y,-z'
'-x,y+1/2,-z+1/2'
'x,-y+1/2,z+1/2'
loop_
_atom_site_label
_atom_site_fract_x
_atom_site_fract_y
_atom_site_fract_z
_atom_site_occupancy
Zn1 0.2466 0.0105 0.2479 1
As1 0.0142 0.7242 0.0964 1
As2 0.4885 0.7112 0.9018 1
O1 0.0054 0.2395 0.8063 1
O2 0.1084 0.6183 0.9080 1
O3 0.3935 0.6314 0.0873 1
O4 0.4970 0.2341 0.6955 1
```

Record 2
This entry pairs a crystal structure of ZnAsO5 with its computed powder X-ray diffraction pattern. Radiation: Cu Kα. Structure: a cell relaxed with GGA-PBE.
Lines closer than 0.1° are merged.

Top 6 peaks for 10° ≤ 2θ ≤ 90°, by angle:
2θ 11.1, intensity 100, hkl 0 0 2
2θ 28.0, intensity 15, hkl 2 0 1
2θ 29.0, intensity 27, hkl 0 2 -3
2θ 29.3, intensity 27, hkl 0 2 3
2θ 31.9, intensity 18, hkl 2 0 -3
2θ 32.4, intensity 16, hkl 2 0 3

Crystal structure
```
data_ZnAsO5
_chemical_formula_sum 'Zn8 As8 O40'
_cell_length_a 6.5399
_cell_length_b 7.5083
_cell_length_c 16.0105
_cell_angle_alpha 90.52
_cell_angle_beta 90.93
_cell_angle_gamma 93.84
_space_group_name_H-M_alt 'P -1'
_space_group_IT_number 2
loop_
_space_group_symop_operation_xyz
'x,y,z'
'-x,-y,-z'
loop_
_atom_site_label
_atom_site_fract_x
_atom_site_fract_y
_atom_site_fract_z
_atom_site_occupancy
Zn1 0.1215 0.3981 0.4307 1
Zn2 0.1276 0.3536 0.0517 1
Zn3 0.3741 0.1000 0.9304 1
Zn4 0.3765 0.1481 0.5521 1
As1 0.1201 0.8407 0.4064 1
As2 0.1251 0.9160 0.1093 1
As3 0.3728 0.6572 0.9065 1
As4 0.3832 0.5866 0.6091 1
O1 0.0233 0.2672 0.3248 1
O2 0.0349 0.9744 0.3260 1
O3 0.0660 0.1326 0.1348 1
O4 0.0806 0.1877 0.5241 1
O5 0.0883 0.1836 0.9418 1
O6 0.1605 0.5701 0.9590 1
O7 0.1738 0.5624 0.5410 1
O8 0.1789 0.6348 0.3647 1
O9 0.2032 0.7834 0.1910 1
O10 0.2196 0.4903 0.1604 1
O11 0.2936 0.0161 0.6611 1
O12 0.3094 0.8608 0.8650 1
O13 0.3120 0.7219 0.6909 1
O14 0.3291 0.9383 0.0411 1
O15 0.3365 0.9298 0.4585 1
O16 0.4077 0.3153 0.4420 1
O17 0.4210 0.3123 0.0240 1
O18 0.4458 0.3713 0.6345 1
O19 0.4518 0.5188 0.8266 1
O20 0.4620 0.2242 0.8235 1
```

Record 3
This entry pairs a crystal structure of Zn2As2O9 with its computed powder X-ray diffraction pattern. Radiation: Cu Kα. Structure: a cell relaxed with GGA-PBE.
Lines closer than 0.1° are merged.

Top 6 peaks for 10° ≤ 2θ ≤ 90°, by angle:
2θ 12.3, intensity 40, hkl 0 2 0
2θ 12.9, intensity 43, hkl 0 1 1
2θ 16.8, intensity 100, hkl 0 2 1
2θ 29.6, intensity 72, hkl 0 3 2
2θ 30.1, intensity 45, hkl 2 2 -2
2θ 33.2, intensity 60, hkl 2 2 -3

Crystal structure
```
data_Zn2As2O9
_chemical_formula_sum 'Zn8 As8 O36'
_cell_length_a 6.5587
_cell_length_b 14.3803
_cell_length_c 9.6819
_cell_angle_alpha 90.00
_cell_angle_beta 126.54
_cell_angle_gamma 90.00
_space_group_name_H-M_alt 'P 1 21/c 1'
_space_group_IT_number 14
loop_
_space_group_symop_operation_xyz
'x,y,z'
'-x,-y,-z'
'-x,y+1/2,-z+1/2'
'x,-y+1/2,z+1/2'
loop_
_atom_site_label
_atom_site_fract_x
_atom_site_fract_y
_atom_site_fract_z
_atom_site_occupancy
Zn1 0.1930 0.1164 0.4245 1
Zn2 0.2808 0.7393 0.8537 1
As1 0.1112 0.1756 0.0455 1
As2 0.3915 0.5746 0.1630 1
O1 0.0178 0.5190 0.2656 1
O2 0.0413 0.2014 0.1866 1
O3 0.1412 0.6512 0.6564 1
O4 0.1960 0.6460 0.1794 1
O5 0.2872 0.0354 0.6244 1
O6 0.3032 0.0730 0.1294 1
O7 0.3139 0.2386 0.5653 1
O8 0.4471 0.6236 0.0261 1
O9 0.4670 0.1774 0.9411 1
```

Record 4
This entry pairs a crystal structure of Zn3As2O10 with its computed powder X-ray diffraction pattern. Radiation: Cu Kα. Structure: a cell relaxed with GGA-PBE.
Lines closer than 0.1° are merged.

Top 6 peaks for 10° ≤ 2θ ≤ 90°, by angle:
2θ 14.1, intensity 38, hkl 0 1 -2
2θ 14.4, intensity 37, hkl 1 0 -1
2θ 25.6, intensity 38, hkl 0 0 4
2θ 29.7, intensity 75, hkl 2 0 0
2θ 30.8, intensity 66, hkl 0 3 -1
2θ 30.9, intensity 100, hkl 0 1 -5

Crystal structure
```
data_Zn3As2O10
_chemical_formula_sum 'Zn12 As8 O40'
_cell_length_a 6.5943
_cell_length_b 9.2502
_cell_length_c 14.7167
_cell_angle_alpha 101.77
_cell_angle_beta 99.93
_cell_angle_gamma 108.98
_space_group_name_H-M_alt 'P -1'
_space_group_IT_number 2
loop_
_space_group_symop_operation_xyz
'x,y,z'
'-x,-y,-z'
loop_
_atom_site_label
_atom_site_fract_x
_atom_site_fract_y
_atom_site_fract_z
_atom_site_occupancy
Zn1 0.1253 0.4075 0.1523 1
Zn2 0.1651 0.2731 0.9343 1
Zn3 0.1998 0.5194 0.5761 1
Zn4 0.2937 0.9541 0.9080 1
Zn5 0.3371 0.8281 0.2655 1
Zn6 0.3720 0.1585 0.3983 1
As1 0.1848 0.8797 0.6727 1
As2 0.2364 0.0766 0.1381 1
As3 0.2881 0.6711 0.0376 1
As4 0.3514 0.5653 0.3844 1
O1 0.0423 0.0402 0.9147 1
O2 0.0699 0.1572 0.4044 1
O3 0.1187 0.2770 0.5531 1
O4 0.1218 0.5022 0.4295 1
O5 0.1385 0.8162 0.7720 1
O6 0.1507 0.7207 0.1239 1
O7 0.1850 0.6959 0.9287 1
O8 0.1891 0.3436 0.7668 1
O9 0.2381 0.4802 0.7580 1
O10 0.2434 0.4740 0.0339 1
O11 0.2643 0.5858 0.2707 1
O12 0.2722 0.9137 0.3879 1
O13 0.2927 0.2703 0.1424 1
O14 0.3003 0.7635 0.6065 1
O15 0.3076 0.0461 0.2485 1
O16 0.3376 0.0787 0.7023 1
O17 0.3800 0.0069 0.0633 1
O18 0.4330 0.2247 0.9184 1
O19 0.4602 0.2509 0.5469 1
O20 0.4710 0.4247 0.3811 1
```